Calculated powder diffractogram of Mn5CrRu2 for CuKα, from a crystal structure in Alexandria, relaxed with GGA-PBE.
Neutral-atom scattering factors, no anomalous dispersion.

Atomic structure:
```
Mn5CrRu2
1.0
4.4512 0.0000 0.0000
0.0000 5.2586 0.0000
-1.4024 0.0000 4.2649
Mn Cr Ru
5 1 2
direct
0.0000 0.0000 0.0000
0.0000 0.2379 0.5000
0.5000 0.2361 0.0000
0.5000 0.4877 0.5000
0.5000 0.9909 0.5000
0.5000 0.7408 0.0000
0.0000 0.4909 0.0000
0.0000 0.7471 0.5000
```

The 10 most intense peaks (2θ = 5–70°), in order of rising 2θ:
5.259 Å, rel. 6, hkl 0 1 0
4.228 Å, rel. 10, hkl 1 0 0
3.312 Å, rel. 6, hkl 0 1 1
3.295 Å, rel. 5, hkl 1 1 0
2.982 Å, rel. 5, hkl 1 1 -1
2.132 Å, rel. 51, hkl 0 0 2
2.128 Å, rel. 100, hkl 1 2 -1
2.114 Å, rel. 49, hkl 2 0 0
1.856 Å, rel. 64, hkl 1 2 1
1.811 Å, rel. 30, hkl 2 0 -2